(1)
Simulated powder diffraction line list of Tl2ReF7 for Cu Kα (weighted mean of Kα1 and Kα2), from a cell relaxed with PBE.
Neutral-atom scattering factors, no anomalous dispersion.

Top 10 peaks for 10 to 80 degrees two-theta, in order of falling intensity:
| d (Å) | 2θ/deg | intensity |
| --- | --- | --- |
| 3.788 | 23.5 | 1000 |
| 3.814 | 23.3 | 669 |
| 3.025 | 29.5 | 501 |
| 3.054 | 29.2 | 454 |
| 2.442 | 36.8 | 290 |
| 3.719 | 23.9 | 251 |
| 2.241 | 40.3 | 231 |
| 1.991 | 45.6 | 220 |
| 2.510 | 35.8 | 201 |
| 2.301 | 39.1 | 196 |

Crystal structure
Lattice parameters (Å, degrees): 14.285 6.666 10.206 90.00 131.64 90.00
Space group C2/c (No. 15)
Unique sites:
1 Tl 0.158 0.168 0.239
2 Re 0.000 0.301 0.750
3 F 0.000 0.402 0.250
4 F 0.073 0.057 0.903
5 F 0.106 0.302 0.690
6 F 0.146 0.388 0.988

(2)
Simulated powder diffraction line list of Ho7Sb4Te4 for Cu Kα (weighted mean of Kα1 and Kα2), from a cell relaxed with PBE.
Neutral-atom scattering factors, no anomalous dispersion.

Top 10 peaks for 10 to 80 degrees two-theta, in order of falling intensity:
| d (Å) | 2θ/deg | intensity |
| --- | --- | --- |
| 2.830 | 31.6 | 1000 |
| 2.590 | 34.6 | 551 |
| 3.082 | 29.0 | 477 |
| 2.670 | 33.6 | 377 |
| 2.009 | 45.1 | 368 |
| 2.518 | 35.7 | 256 |
| 2.017 | 44.9 | 244 |
| 4.034 | 22.0 | 243 |
| 4.778 | 18.6 | 187 |
| 1.415 | 66.0 | 183 |

Crystal structure
Lattice parameters (Å, degrees): 15.109 15.109 8.069 90.00 90.00 90.00
Space group I4/mmm (No. 139)
Unique sites:
1 Ho 0.000 0.000 0.240
2 Ho 0.000 0.284 0.000
3 Ho 0.000 0.361 0.500
4 Ho 0.208 0.208 0.500
5 Sb 0.148 0.352 0.250
6 Te 0.000 0.164 0.500
7 Te 0.122 0.122 0.000